# 1
Diffraction record for Sm2AgIr. The X-ray powder pattern is simulated, not measured: it uses a crystal structure in the Materials Project, relaxed with GGA-PBE and Cu Kα (weighted mean of Kα1 and Kα2).
Lines closer than 0.1° are merged.

Principal peaks in the range 2θ from 15° to 90°, sorted by position:
(hkl), two_theta, I_rel
1 1 1, 21.4, 4
2 2 0, 35.3, 100
4 0 0, 50.8, 18
4 2 2, 63.4, 36
4 4 0, 74.7, 11
6 2 0, 85.4, 16

Atomic structure:
```
data_Sm2AgIr
_cell_length_a 7.1897
_cell_length_b 7.1897
_cell_length_c 7.1897
_cell_angle_alpha 90.00
_cell_angle_beta 90.00
_cell_angle_gamma 90.00
_space_group_name_H-M_alt 'F m -3 m'
_space_group_IT_number 225
_space_group_name_Hall '-F 4 2 3'
loop_
_atom_site_label
_atom_site_type_symbol
_atom_site_fract_x
_atom_site_fract_y
_atom_site_fract_z
_atom_site_occupancy
Sm1 Sm 0.2500 0.2500 0.2500 1
Ag1 Ag 0.0000 0.0000 0.0000 1
Ir1 Ir 0.0000 0.0000 0.5000 1
```



# 2
Diffraction record for Tm2AgIr. The X-ray powder pattern is simulated, not measured: it uses a crystal structure in the Materials Project, relaxed with GGA-PBE and Cu Kα (weighted mean of Kα1 and Kα2).
Lines closer than 0.1° are merged.

Principal peaks in the range 2θ from 15° to 90°, sorted by position:
(hkl), two_theta, I_rel
1 1 1, 22.2, 3
2 2 0, 36.6, 100
4 0 0, 52.7, 18
4 2 2, 65.9, 36
4 4 0, 77.8, 11
6 2 0, 89.2, 17

Atomic structure:
```
data_Tm2AgIr
_cell_length_a 6.9418
_cell_length_b 6.9418
_cell_length_c 6.9418
_cell_angle_alpha 90.00
_cell_angle_beta 90.00
_cell_angle_gamma 90.00
_space_group_name_H-M_alt 'F m -3 m'
_space_group_IT_number 225
_space_group_name_Hall '-F 4 2 3'
loop_
_atom_site_label
_atom_site_type_symbol
_atom_site_fract_x
_atom_site_fract_y
_atom_site_fract_z
_atom_site_occupancy
Tm1 Tm 0.2500 0.2500 0.2500 1
Ag1 Ag 0.0000 0.0000 0.0000 1
Ir1 Ir 0.0000 0.0000 0.5000 1
```



# 3
Diffraction record for KAg2. The X-ray powder pattern is simulated, not measured: it uses a crystal structure in the Materials Project, relaxed with GGA-PBE and Cu Kα (weighted mean of Kα1 and Kα2).
Lines closer than 0.1° are merged.

Principal peaks in the range 2θ from 15° to 90°, sorted by position:
(hkl), two_theta, I_rel
1 0 0, 17.3, 53
1 0 3, 31.9, 36
1 1 2, 35.2, 85
0 0 4, 35.7, 35
2 0 1, 36.2, 100
2 0 2, 39.5, 49

Atomic structure:
```
data_KAg2
_cell_length_a 5.9122
_cell_length_b 5.9122
_cell_length_c 10.0663
_cell_angle_alpha 90.00
_cell_angle_beta 90.00
_cell_angle_gamma 120.00
_space_group_name_H-M_alt 'P 63/m m c'
_space_group_IT_number 194
_space_group_name_Hall '-P 6c 2c'
loop_
_atom_site_label
_atom_site_type_symbol
_atom_site_fract_x
_atom_site_fract_y
_atom_site_fract_z
_atom_site_occupancy
K1 K 0.3333 0.6667 0.0614 1
Ag1 Ag 0.0000 0.0000 0.0000 1
Ag2 Ag 0.1651 0.3302 0.7500 1
```



# 4
Diffraction record for K3Ag. The X-ray powder pattern is simulated, not measured: it uses a crystal structure in the Materials Project, relaxed with GGA-PBE and Cu Kα (weighted mean of Kα1 and Kα2).
Lines closer than 0.1° are merged.

Principal peaks in the range 2θ from 15° to 90°, sorted by position:
(hkl), two_theta, I_rel
1 0 0, 15.3, 24
1 1 0, 21.8, 22
1 1 1, 26.7, 100
2 0 0, 31.0, 50
2 2 0, 44.3, 35
3 1 1, 52.5, 40

Atomic structure:
```
data_K3Ag
_cell_length_a 5.7778
_cell_length_b 5.7778
_cell_length_c 5.7778
_cell_angle_alpha 90.00
_cell_angle_beta 90.00
_cell_angle_gamma 90.00
_space_group_name_H-M_alt 'P m -3 m'
_space_group_IT_number 221
_space_group_name_Hall '-P 4 2 3'
loop_
_atom_site_label
_atom_site_type_symbol
_atom_site_fract_x
_atom_site_fract_y
_atom_site_fract_z
_atom_site_occupancy
K1 K 0.0000 0.0000 0.5000 1
Ag1 Ag 0.5000 0.5000 0.5000 1
```



# 5
Diffraction record for K4MgNb2Ag2S8. The X-ray powder pattern is simulated, not measured: it uses a crystal structure in the Materials Project, relaxed with GGA-PBE and Cu Kα (weighted mean of Kα1 and Kα2).
Lines closer than 0.1° are merged.

Principal peaks in the range 2θ from 15° to 90°, sorted by position:
(hkl), two_theta, I_rel
0 1 -3, 24.8, 100
2 2 1, 33.0, 32
2 2 3, 37.0, 30
0 2 -4, 38.9, 32
2 3 0, 40.7, 33
0 2 -6, 50.9, 38

Atomic structure:
```
data_K4MgNb2Ag2S8
_cell_length_a 5.9369
_cell_length_b 7.4012
_cell_length_c 12.8427
_cell_angle_alpha 86.48
_cell_angle_beta 81.22
_cell_angle_gamma 66.39
_space_group_name_H-M_alt 'P 1'
_space_group_IT_number 1
_space_group_name_Hall 'P 1'
loop_
_atom_site_label
_atom_site_type_symbol
_atom_site_fract_x
_atom_site_fract_y
_atom_site_fract_z
_atom_site_occupancy
K1 K 0.0000 0.0000 0.0000 1
K2 K 0.0537 0.0004 0.3850 1
K3 K 0.1164 0.4659 0.5520 1
K4 K 0.4721 0.4648 0.8332 1
Mg1 Mg 0.5650 0.9234 0.1928 1
Nb1 Nb 0.0313 0.9911 0.6925 1
Nb2 Nb 0.2931 0.4690 0.1924 1
Ag1 Ag 0.5418 0.9700 0.6923 1
Ag2 Ag 0.8234 0.4084 0.1921 1
S1 S 0.1181 0.2015 0.7917 1
S2 S 0.2734 0.2165 0.0933 1
S3 S 0.3745 0.7885 0.5808 1
S4 S 0.4712 0.6645 0.0903 1
S5 S 0.5645 0.2165 0.2917 1
S6 S 0.7346 0.2016 0.5932 1
S7 S 0.8903 0.7882 0.8041 1
S8 S 0.9193 0.6646 0.2941 1
```



# 6
Diffraction record for K4MgNb2Ag2S8. The X-ray powder pattern is simulated, not measured: it uses a crystal structure in the Materials Project, relaxed with GGA-PBE and Cu Kα (weighted mean of Kα1 and Kα2).
Lines closer than 0.1° are merged.

Principal peaks in the range 2θ from 15° to 90°, sorted by position:
(hkl), two_theta, I_rel
0 2 1, 15.1, 100
0 4 0, 15.2, 56
0 6 1, 26.5, 63
2 0 0, 31.8, 30
2 6 -1, 37.8, 35
0 6 3, 46.5, 18

Atomic structure:
```
data_K4MgNb2Ag2S8
_cell_length_a 6.0305
_cell_length_b 23.2620
_cell_length_c 7.2710
_cell_angle_alpha 90.00
_cell_angle_beta 111.13
_cell_angle_gamma 90.00
_space_group_name_H-M_alt 'C 1 2 1'
_space_group_IT_number 5
_space_group_name_Hall 'C 2y'
loop_
_atom_site_label
_atom_site_type_symbol
_atom_site_fract_x
_atom_site_fract_y
_atom_site_fract_z
_atom_site_occupancy
K1 K 0.0000 0.0000 0.0000 1
K2 K 0.0000 0.1268 0.5000 1
K3 K 0.0000 0.3750 0.0000 1
K4 K 0.0000 0.7697 0.5000 1
Mg1 Mg 0.0000 0.5722 0.0000 1
Nb1 Nb 0.0000 0.1968 0.0000 1
Nb2 Nb 0.0000 0.9474 0.5000 1
Ag1 Ag 0.0000 0.4448 0.5000 1
Ag2 Ag 0.0000 0.7112 0.0000 1
S1 S 0.1070 0.2530 0.7819 1
S2 S 0.1210 0.8903 0.2914 1
S3 S 0.1897 0.6320 0.8204 1
S4 S 0.1933 0.5082 0.2869 1
```



# 7
Diffraction record for K4MgV2Ag2S8. The X-ray powder pattern is simulated, not measured: it uses a crystal structure in the Materials Project, relaxed with GGA-PBE and Cu Kα (weighted mean of Kα1 and Kα2).
Lines closer than 0.1° are merged.

Principal peaks in the range 2θ from 15° to 90°, sorted by position:
(hkl), two_theta, I_rel
0 1 1, 15.5, 100
0 1 3, 25.1, 78
1 2 2, 28.5, 54
2 2 1, 34.0, 26
0 2 4, 39.8, 24
0 2 6, 51.4, 24

Atomic structure:
```
data_K4MgV2Ag2S8
_cell_length_a 5.8075
_cell_length_b 7.0367
_cell_length_c 12.9148
_cell_angle_alpha 86.94
_cell_angle_beta 82.58
_cell_angle_gamma 65.64
_space_group_name_H-M_alt 'P 1'
_space_group_IT_number 1
_space_group_name_Hall 'P 1'
loop_
_atom_site_label
_atom_site_type_symbol
_atom_site_fract_x
_atom_site_fract_y
_atom_site_fract_z
_atom_site_occupancy
K1 K 0.0000 0.0000 0.0000 1
K2 K 0.0291 0.4691 0.1652 1
K3 K 0.4216 0.4690 0.4377 1
K4 K 0.9205 0.9998 0.6031 1
Mg1 Mg 0.4841 0.9524 0.8017 1
V1 V 0.2189 0.4824 0.8017 1
V2 V 0.9663 0.9871 0.3015 1
Ag1 Ag 0.4763 0.9672 0.3016 1
Ag2 Ag 0.7675 0.3850 0.8015 1
S1 S 0.0464 0.1975 0.3967 1
S2 S 0.2103 0.2427 0.6896 1
S3 S 0.2963 0.7819 0.1965 1
S4 S 0.3952 0.6838 0.7105 1
S5 S 0.4673 0.2426 0.9138 1
S6 S 0.6762 0.1973 0.2062 1
S7 S 0.8411 0.6834 0.8930 1
S8 S 0.8413 0.7820 0.4065 1
```



# 8
Diffraction record for K4MgV2Ag2S8. The X-ray powder pattern is simulated, not measured: it uses a crystal structure in the Materials Project, relaxed with GGA-PBE and Cu Kα (weighted mean of Kα1 and Kα2).
Lines closer than 0.1° are merged.

Principal peaks in the range 2θ from 15° to 90°, sorted by position:
(hkl), two_theta, I_rel
0 2 1, 15.5, 100
0 4 0, 15.8, 58
1 3 1, 27.1, 37
0 6 1, 27.4, 49
1 3 -2, 28.3, 39
2 6 -1, 38.3, 47

Atomic structure:
```
data_K4MgV2Ag2S8
_cell_length_a 6.0413
_cell_length_b 22.4243
_cell_length_c 7.1587
_cell_angle_alpha 90.00
_cell_angle_beta 111.98
_cell_angle_gamma 90.00
_space_group_name_H-M_alt 'C 1 2 1'
_space_group_IT_number 5
_space_group_name_Hall 'C 2y'
loop_
_atom_site_label
_atom_site_type_symbol
_atom_site_fract_x
_atom_site_fract_y
_atom_site_fract_z
_atom_site_occupancy
K1 K 0.0000 0.0000 0.0000 1
K2 K 0.0000 0.1272 0.5000 1
K3 K 0.0000 0.3605 0.0000 1
K4 K 0.0000 0.7547 0.5000 1
Mg1 Mg 0.0000 0.5547 0.5000 1
V1 V 0.0000 0.1806 0.0000 1
V2 V 0.0000 0.9360 0.5000 1
Ag1 Ag 0.0000 0.4145 0.5000 1
Ag2 Ag 0.0000 0.6801 0.0000 1
S1 S 0.0925 0.8787 0.2894 1
S2 S 0.1184 0.2372 0.8050 1
S3 S 0.1947 0.4956 0.3161 1
S4 S 0.2022 0.6213 0.7892 1
```



Repeat the seventh record exactly.
Diffraction record for K4MgV2Ag2S8. The X-ray powder pattern is simulated, not measured: it uses a crystal structure in the Materials Project, relaxed with GGA-PBE and Cu Kα (weighted mean of Kα1 and Kα2).
Lines closer than 0.1° are merged.

Principal peaks in the range 2θ from 15° to 90°, sorted by position:
(hkl), two_theta, I_rel
0 1 1, 15.5, 100
0 1 3, 25.1, 78
1 2 2, 28.5, 54
2 2 1, 34.0, 26
0 2 4, 39.8, 24
0 2 6, 51.4, 24

Atomic structure:
```
data_K4MgV2Ag2S8
_cell_length_a 5.8075
_cell_length_b 7.0367
_cell_length_c 12.9148
_cell_angle_alpha 86.94
_cell_angle_beta 82.58
_cell_angle_gamma 65.64
_space_group_name_H-M_alt 'P 1'
_space_group_IT_number 1
_space_group_name_Hall 'P 1'
loop_
_atom_site_label
_atom_site_type_symbol
_atom_site_fract_x
_atom_site_fract_y
_atom_site_fract_z
_atom_site_occupancy
K1 K 0.0000 0.0000 0.0000 1
K2 K 0.0291 0.4691 0.1652 1
K3 K 0.4216 0.4690 0.4377 1
K4 K 0.9205 0.9998 0.6031 1
Mg1 Mg 0.4841 0.9524 0.8017 1
V1 V 0.2189 0.4824 0.8017 1
V2 V 0.9663 0.9871 0.3015 1
Ag1 Ag 0.4763 0.9672 0.3016 1
Ag2 Ag 0.7675 0.3850 0.8015 1
S1 S 0.0464 0.1975 0.3967 1
S2 S 0.2103 0.2427 0.6896 1
S3 S 0.2963 0.7819 0.1965 1
S4 S 0.3952 0.6838 0.7105 1
S5 S 0.4673 0.2426 0.9138 1
S6 S 0.6762 0.1973 0.2062 1
S7 S 0.8411 0.6834 0.8930 1
S8 S 0.8413 0.7820 0.4065 1
```